Record 1
Diffraction record for Sr3Ti2N4. The X-ray diffraction stick pattern is computed, not measured: it uses a cell relaxed with PBE and Cu Kα, 1.54184 Å.
No peak broadening, texture or thermal motion is included.

a b c (Å): 11.6289 8.8815 5.7966
angles (deg): 90.00 92.96 90.00
Space group C2/c (No. 15)
Inequivalent atoms, fractional coordinates:
Sr  0.0000  0.1049  0.2500
Sr  0.1158  0.3669  0.5478
Ti  0.2031  0.1177  0.9166
N  0.1342  0.3211  0.0269
N  0.1690  0.0663  0.5905

The 10 most intense peaks (2θ from 5° to 70°), in order of falling intensity:
- d = 2.971 Å, 30.08 deg, I = 100, (2 2 1)
- d = 3.091 Å, 28.88 deg, I = 58, (3 1 -1)
- d = 2.708 Å, 33.08 deg, I = 38, (1 1 -2)
- d = 2.247 Å, 40.13 deg, I = 31, (5 1 0)
- d = 2.203 Å, 40.97 deg, I = 31, (3 3 -1)
- d = 2.220 Å, 40.63 deg, I = 27, (0 4 0)
- d = 2.051 Å, 44.16 deg, I = 21, (1 3 -2)
- d = 1.999 Å, 45.37 deg, I = 16, (4 0 2)
- d = 2.539 Å, 35.36 deg, I = 14, (2 0 2)
- d = 2.897 Å, 30.87 deg, I = 13, (0 0 2)

Record 2
Diffraction record for CsNiP. The X-ray diffraction stick pattern is computed, not measured: it uses a cell relaxed with PBE and Cu Kα, 1.54184 Å.
No peak broadening, texture or thermal motion is included.

a b c (Å): 7.1505 11.4800 5.2632
angles (deg): 90.00 90.00 90.00
Space group Cmcm (No. 63)
Inequivalent atoms, fractional coordinates:
Cs  0.0000  0.1632  0.2500
Ni  0.0000  0.5000  0.0000
P  0.0000  0.3563  0.7500

The 10 most intense peaks (2θ from 5° to 70°), in order of falling intensity:
- d = 3.879 Å, 22.93 deg, I = 100, (0 2 1)
- d = 3.575 Å, 24.90 deg, I = 98, (2 0 0)
- d = 3.374 Å, 26.42 deg, I = 90, (1 3 0)
- d = 2.629 Å, 34.10 deg, I = 77, (2 2 1)
- d = 3.976 Å, 22.36 deg, I = 72, (1 1 1)
- d = 2.414 Å, 37.24 deg, I = 34, (1 1 2)
- d = 1.687 Å, 54.40 deg, I = 26, (2 6 0)
- d = 1.988 Å, 45.63 deg, I = 25, (2 2 2)
- d = 1.705 Å, 53.77 deg, I = 24, (2 4 2)
- d = 2.060 Å, 43.96 deg, I = 23, (2 4 1)

Record 3
Diffraction record for Cs2LiLaBr6. The X-ray diffraction stick pattern is computed, not measured: it uses a cell relaxed with PBE and Cu Kα, 1.54184 Å.
No peak broadening, texture or thermal motion is included.

a b c (Å): 11.4521 11.4521 11.4521
angles (deg): 90.00 90.00 90.00
Space group Fm-3m (No. 225)
Inequivalent atoms, fractional coordinates:
Cs  0.2500  0.2500  0.2500
Li  0.0000  0.0000  0.0000
La  0.0000  0.0000  0.5000
Br  0.0000  0.0000  0.2443

The 10 most intense peaks (2θ from 5° to 70°), in order of falling intensity:
- d = 2.863 Å, 31.24 deg, I = 100, (4 0 0)
- d = 3.306 Å, 26.97 deg, I = 92, (2 2 2)
- d = 2.024 Å, 44.77 deg, I = 72, (4 4 0)
- d = 1.726 Å, 53.04 deg, I = 40, (6 2 2)
- d = 4.049 Å, 21.95 deg, I = 34, (2 2 0)
- d = 1.653 Å, 55.60 deg, I = 25, (4 4 4)
- d = 6.612 Å, 13.39 deg, I = 16, (1 1 1)
- d = 2.338 Å, 38.51 deg, I = 16, (4 2 2)
- d = 3.453 Å, 25.80 deg, I = 15, (3 1 1)
- d = 1.432 Å, 65.17 deg, I = 12, (8 0 0)